Computed powder XRD pattern
Compound: La4Pb2I
Radiation: Cu Kα, 1.54184 Å
Structure: a structure optimized by DFT (GGA-PBE)
Kinematic intensities with the Lorentz-polarization factor, no thermal factor.

Top 8 peaks for 10° ≤ 2θ ≤ 90°, in order of rising 2θ:
| d_spacing | Position (°2θ) | intensity |
| --- | --- | --- |
| 3.505 | 25.41 | 29.9 |
| 3.356 | 26.56 | 54.2 |
| 3.004 | 29.74 | 100.0 |
| 2.950 | 30.30 | 45.8 |
| 2.821 | 31.72 | 68.0 |
| 2.785 | 32.14 | 73.4 |
| 2.758 | 32.47 | 61.7 |
| 2.707 | 33.09 | 58.5 |

Cell and atoms:
a = 7.0155 Å, b = 6.7065 Å, c = 10.8902 Å
α = 90.00°, β = 106.57°, γ = 90.00°
Fractional coordinates of all 14 atoms:
La  0.0311  0.0103  0.2721
La  0.0311  0.4897  0.2721
La  0.3895  0.7500  0.5443
La  0.4551  0.7500  0.1512
La  0.5449  0.2500  0.8488
La  0.6105  0.2500  0.4557
La  0.9689  0.5103  0.7279
La  0.9689  0.9897  0.7279
Pb  0.0800  0.2500  0.0022
Pb  0.2100  0.2500  0.5574
Pb  0.7900  0.7500  0.4426
Pb  0.9200  0.7500  0.9978
I  0.3950  0.7500  0.8411
I  0.6050  0.2500  0.1589

Computed powder XRD pattern
Compound: La7PbI12
Radiation: Cu Kα, 1.54184 Å
Structure: a structure optimized by DFT (GGA-PBE)
Kinematic intensities with the Lorentz-polarization factor, no thermal factor.

Top 8 peaks for 10° ≤ 2θ ≤ 90°, in order of rising 2θ:
| d_spacing | Position (°2θ) | intensity |
| --- | --- | --- |
| 8.318 | 10.64 | 19.6 |
| 3.748 | 23.74 | 13.4 |
| 3.214 | 27.76 | 100.0 |
| 2.307 | 39.05 | 38.5 |
| 2.240 | 40.27 | 36.0 |
| 1.874 | 48.58 | 20.1 |
| 1.455 | 64.01 | 17.0 |
| 1.420 | 65.74 | 16.1 |

Cell and atoms:
a = 10.2589 Å, b = 10.2589 Å, c = 10.2589 Å
α = 108.34°, β = 108.34°, γ = 108.34°
Fractional coordinates of all 20 atoms:
La  0.0000  0.0000  0.0000
La  0.1587  0.3798  0.4516
La  0.3798  0.4516  0.1587
La  0.4516  0.1587  0.3798
La  0.5484  0.8413  0.6202
La  0.6202  0.5484  0.8413
La  0.8413  0.6202  0.5484
Pb  0.5000  0.5000  0.5000
I  0.0218  0.3437  0.1023
I  0.1023  0.0218  0.3437
I  0.1950  0.7307  0.5777
I  0.2693  0.4223  0.8050
I  0.3437  0.1023  0.0218
I  0.4223  0.8050  0.2693
I  0.5777  0.1950  0.7307
I  0.6563  0.8977  0.9782
I  0.7307  0.5777  0.1950
I  0.8050  0.2693  0.4223
I  0.8977  0.9782  0.6563
I  0.9782  0.6563  0.8977

Computed powder XRD pattern
Compound: La3Pd2I
Radiation: Cu Kα, 1.54184 Å
Structure: a structure optimized by DFT (GGA-PBE)
Kinematic intensities with the Lorentz-polarization factor, no thermal factor.

Top 8 peaks for 10° ≤ 2θ ≤ 90°, in order of rising 2θ:
| d_spacing | Position (°2θ) | intensity |
| --- | --- | --- |
| 3.248 | 27.46 | 30.5 |
| 3.070 | 29.08 | 19.9 |
| 2.841 | 31.49 | 100.0 |
| 2.541 | 35.33 | 26.2 |
| 2.424 | 37.09 | 44.8 |
| 2.238 | 40.29 | 28.5 |
| 1.754 | 52.15 | 17.4 |
| 1.468 | 63.37 | 15.6 |

Cell and atoms:
a = 7.6614 Å, b = 7.6614 Å, c = 10.1620 Å
α = 90.00°, β = 90.00°, γ = 143.10°
Fractional coordinates of all 12 atoms:
La  0.1091  0.8909  0.7500
La  0.3723  0.6277  0.5403
La  0.3723  0.6277  0.9597
La  0.6277  0.3723  0.0403
La  0.6277  0.3723  0.4597
La  0.8909  0.1091  0.2500
Pd  0.0000  0.0000  0.0000
Pd  0.0000  0.0000  0.5000
Pd  0.4844  0.5156  0.2500
Pd  0.5156  0.4844  0.7500
I  0.2199  0.7801  0.2500
I  0.7801  0.2199  0.7500

Computed powder XRD pattern
Compound: LaPr4I8
Radiation: Cu Kα, 1.54184 Å
Structure: a structure optimized by DFT (GGA-PBE)
Kinematic intensities with the Lorentz-polarization factor, no thermal factor.

Top 8 peaks for 10° ≤ 2θ ≤ 90°, in order of rising 2θ:
| d_spacing | Position (°2θ) | intensity |
| --- | --- | --- |
| 7.722 | 11.46 | 41.2 |
| 4.033 | 22.04 | 40.2 |
| 3.344 | 26.66 | 94.7 |
| 2.574 | 34.85 | 31.8 |
| 2.364 | 38.06 | 100.0 |
| 1.931 | 47.07 | 23.7 |
| 1.495 | 62.07 | 27.5 |
| 1.365 | 68.77 | 28.8 |

Cell and atoms:
a = 9.4578 Å, b = 9.4578 Å, c = 9.4578 Å
α = 60.00°, β = 60.00°, γ = 60.00°
Fractional coordinates of all 13 atoms:
La  0.0000  0.0000  0.0000
Pr  0.0949  0.6350  0.6350
Pr  0.6350  0.0949  0.6350
Pr  0.6350  0.6350  0.0949
Pr  0.6350  0.6350  0.6350
I  0.3852  0.3852  0.3852
I  0.3852  0.3852  0.8444
I  0.3852  0.8444  0.3852
I  0.3908  0.8697  0.8697
I  0.8444  0.3852  0.3852
I  0.8697  0.3908  0.8697
I  0.8697  0.8697  0.3908
I  0.8697  0.8697  0.8697

Computed powder XRD pattern
Compound: La3PrI8
Radiation: Cu Kα, 1.54184 Å
Structure: a structure optimized by DFT (GGA-PBE)
Kinematic intensities with the Lorentz-polarization factor, no thermal factor.

Top 8 peaks for 10° ≤ 2θ ≤ 90°, in order of rising 2θ:
| d_spacing | Position (°2θ) | intensity |
| --- | --- | --- |
| 8.191 | 10.80 | 51.9 |
| 3.689 | 24.12 | 28.0 |
| 3.194 | 27.93 | 100.0 |
| 3.180 | 28.06 | 49.3 |
| 2.378 | 37.83 | 22.1 |
| 2.368 | 37.99 | 43.6 |
| 2.155 | 41.93 | 49.5 |
| 1.784 | 51.20 | 18.3 |

Cell and atoms:
a = 8.6161 Å, b = 8.6161 Å, c = 9.6085 Å
α = 116.91°, β = 116.91°, γ = 60.05°
Fractional coordinates of all 12 atoms:
La  0.0000  0.0000  0.0000
La  0.0000  0.5000  0.0000
La  0.5000  0.0000  0.0000
Pr  0.5000  0.5000  0.0000
I  0.2492  0.2492  0.7471
I  0.2492  0.7463  0.7471
I  0.2525  0.2525  0.2551
I  0.2537  0.7508  0.2529
I  0.7463  0.2492  0.7471
I  0.7475  0.7475  0.7449
I  0.7508  0.2537  0.2529
I  0.7508  0.7508  0.2529

Computed powder XRD pattern
Compound: La2PtI2
Radiation: Cu Kα, 1.54184 Å
Structure: a structure optimized by DFT (GGA-PBE)
Kinematic intensities with the Lorentz-polarization factor, no thermal factor.

Top 8 peaks for 10° ≤ 2θ ≤ 90°, in order of rising 2θ:
| d_spacing | Position (°2θ) | intensity |
| --- | --- | --- |
| 3.678 | 24.20 | 30.3 |
| 3.456 | 25.78 | 40.2 |
| 2.854 | 31.34 | 100.0 |
| 2.564 | 34.99 | 41.3 |
| 2.172 | 41.59 | 57.3 |
| 1.894 | 48.03 | 21.3 |
| 1.728 | 52.99 | 22.8 |
| 1.450 | 64.24 | 21.6 |

Cell and atoms:
a = 11.9518 Å, b = 11.9518 Å, c = 11.9518 Å
α = 20.94°, β = 20.94°, γ = 20.94°
Fractional coordinates of all 5 atoms:
La  0.1198  0.1198  0.1198
La  0.8802  0.8802  0.8802
Pt  0.5000  0.5000  0.5000
I  0.3896  0.3896  0.3896
I  0.6104  0.6104  0.6104

Computed powder XRD pattern
Compound: La4PtI5
Radiation: Cu Kα, 1.54184 Å
Structure: a structure optimized by DFT (GGA-PBE)
Kinematic intensities with the Lorentz-polarization factor, no thermal factor.

Top 8 peaks for 10° ≤ 2θ ≤ 90°, in order of rising 2θ:
| d_spacing | Position (°2θ) | intensity |
| --- | --- | --- |
| 3.268 | 27.29 | 52.9 |
| 3.169 | 28.15 | 100.0 |
| 2.336 | 38.54 | 17.9 |
| 2.278 | 39.56 | 37.7 |
| 2.272 | 39.67 | 35.7 |
| 2.157 | 41.88 | 18.1 |
| 1.800 | 50.71 | 19.0 |
| 1.267 | 74.96 | 11.1 |

Cell and atoms:
a = 10.2988 Å, b = 10.2988 Å, c = 9.3447 Å
α = 102.89°, β = 102.89°, γ = 24.18°
Fractional coordinates of all 10 atoms:
La  0.9997  0.9997  0.2100
La  0.0003  0.0003  0.7900
La  0.3492  0.3492  0.9191
La  0.6508  0.6508  0.0809
Pt  0.5000  0.5000  0.0000
I  0.1679  0.1679  0.3493
I  0.1742  0.1742  0.8250
I  0.5000  0.5000  0.5000
I  0.8258  0.8258  0.1750
I  0.8321  0.8321  0.6507

Computed powder XRD pattern
Compound: La6Pt2SI3
Radiation: Cu Kα, 1.54184 Å
Structure: a structure optimized by DFT (GGA-PBE)
Kinematic intensities with the Lorentz-polarization factor, no thermal factor.

Top 8 peaks for 10° ≤ 2θ ≤ 90°, in order of rising 2θ:
| d_spacing | Position (°2θ) | intensity |
| --- | --- | --- |
| 7.911 | 11.19 | 12.0 |
| 3.184 | 28.02 | 100.0 |
| 2.522 | 35.60 | 10.0 |
| 2.332 | 38.60 | 29.9 |
| 2.179 | 41.44 | 38.5 |
| 1.797 | 50.81 | 12.6 |
| 1.592 | 57.92 | 9.1 |
| 1.388 | 67.50 | 10.8 |

Cell and atoms:
a = 7.5434 Å, b = 7.5434 Å, c = 8.2987 Å
α = 98.71°, β = 98.71°, γ = 119.88°
Fractional coordinates of all 12 atoms:
La  0.0922  0.4342  0.8056
La  0.2220  0.2220  0.1937
La  0.4342  0.0922  0.8056
La  0.5658  0.9078  0.1944
La  0.7780  0.7780  0.8063
La  0.9078  0.5658  0.1944
Pt  0.1670  0.8330  0.0000
Pt  0.8330  0.1670  0.0000
S  0.5000  0.5000  0.0000
I  0.0000  0.0000  0.5000
I  0.3371  0.6629  0.5000
I  0.6629  0.3371  0.5000